This entry pairs a crystal structure of ErCo4Si with its simulated powder diffractogram. Radiation: CuKα. Structure: a cell relaxed with GGA-PBE.
Kinematic intensities with the Lorentz-polarization factor, no thermal factor.

Cell and atoms:
Unit cell a=3.652 b=14.390 c=6.126 alpha=90.00 beta=90.00 gamma=90.00
Space group Cmcm (No. 63)
Asymmetric unit:
Er1 0.000 0.112 0.250 [4 per cell]
Co1 0.000 0.075 0.750 [4 per cell]
Co2 0.000 0.320 0.054 [8 per cell]
Co3 0.000 0.500 0.000 [4 per cell]
Si1 0.000 0.230 0.750 [4 per cell]

Largest 8 diffraction maxima, low angle first, 10 to 90 degrees two-theta:
| index | 2θ/deg | Rel. int. |
| --- | --- | --- |
| 0 0 2 | 29.14 | 260 |
| 0 4 2 | 38.61 | 234 |
| 1 1 2 | 38.88 | 1000 |
| 1 5 0 | 39.88 | 663 |
| 0 6 1 | 40.39 | 228 |
| 1 5 1 | 42.64 | 211 |
| 0 6 2 | 48.19 | 293 |
| 2 0 0 | 49.95 | 279 |

=====

This entry pairs a crystal structure of Er5Co4Si14 with its simulated powder diffractogram. Radiation: CuKα. Structure: a cell relaxed with GGA-PBE.
Kinematic intensities with the Lorentz-polarization factor, no thermal factor.

Cell and atoms:
Unit cell a=12.337 b=7.801 c=7.723 alpha=90.00 beta=98.80 gamma=90.00
Space group P2_1/c (No. 14)
Asymmetric unit:
Er1 0.000 0.000 0.000 [2 per cell]
Er2 0.364 0.248 0.342 [4 per cell]
Er3 0.364 0.749 0.339 [4 per cell]
Co1 0.000 0.127 0.628 [4 per cell]
Co2 0.249 0.000 0.061 [4 per cell]
Si1 0.000 0.166 0.334 [4 per cell]
Si2 0.177 0.005 0.768 [4 per cell]
Si3 0.177 0.226 0.550 [4 per cell]
Si4 0.177 0.506 0.818 [4 per cell]
Si5 0.177 0.726 0.038 [4 per cell]
Si6 0.439 0.000 0.109 [4 per cell]
Si7 0.441 0.000 0.612 [4 per cell]

Largest 8 diffraction maxima, low angle first, 10 to 90 degrees two-theta:
| index | 2θ/deg | Rel. int. |
| --- | --- | --- |
| 3 0 0 | 21.87 | 407 |
| 1 2 0 | 23.95 | 368 |
| 1 0 2 | 25.54 | 563 |
| 0 2 2 | 32.84 | 223 |
| 1 2 2 | 34.50 | 467 |
| 5 0 0 | 36.86 | 359 |
| 4 2 0 | 37.45 | 452 |
| 3 2 -2 | 37.61 | 1000 |

=====

This entry pairs a crystal structure of SmEr3Co with its simulated powder diffractogram. Radiation: CuKα. Structure: a cell relaxed with GGA-PBE.
Kinematic intensities with the Lorentz-polarization factor, no thermal factor.

Cell and atoms:
Unit cell a=13.078 b=3.703 c=11.085 alpha=90.00 beta=90.55 gamma=90.00
Space group C2/m (No. 12)
Asymmetric unit:
Sm1 0.169 0.000 0.092 [4 per cell]
Er1 0.061 0.000 0.372 [4 per cell]
Er2 0.063 0.500 0.846 [4 per cell]
Er3 0.214 0.000 0.636 [4 per cell]
Co1 0.084 0.500 0.558 [4 per cell]

Largest 8 diffraction maxima, low angle first, 10 to 90 degrees two-theta:
| index | 2θ/deg | Rel. int. |
| --- | --- | --- |
| 1 1 -2 | 29.80 | 641 |
| 4 0 -2 | 31.66 | 1000 |
| 4 0 2 | 31.91 | 442 |
| 0 0 4 | 32.30 | 570 |
| 3 1 1 | 32.79 | 914 |
| 1 1 -3 | 34.95 | 704 |
| 0 2 0 | 49.21 | 303 |
| 4 2 -2 | 59.68 | 275 |

=====

This entry pairs a crystal structure of SmErCo2 with its simulated powder diffractogram. Radiation: CuKα. Structure: a cell relaxed with GGA-PBE.
Kinematic intensities with the Lorentz-polarization factor, no thermal factor.

Cell and atoms:
Unit cell a=3.868 b=5.590 c=7.532 alpha=90.00 beta=90.00 gamma=90.00
Space group Pmc2_1 (No. 26)
Asymmetric unit:
Sm1 0.000 0.133 0.000 [2 per cell]
Er1 0.500 0.369 0.644 [2 per cell]
Co1 0.000 0.360 0.353 [2 per cell]
Co2 0.500 0.163 0.298 [2 per cell]

Largest 8 diffraction maxima, low angle first, 10 to 90 degrees two-theta:
| index | 2θ/deg | Rel. int. |
| --- | --- | --- |
| 1 1 1 | 30.51 | 1000 |
| 1 0 2 | 33.20 | 920 |
| 0 2 1 | 34.22 | 923 |
| 1 1 2 | 36.99 | 651 |
| 0 1 3 | 39.34 | 680 |
| 1 2 1 | 41.63 | 739 |
| 2 0 0 | 46.99 | 397 |
| 2 2 1 | 59.40 | 377 |